No. 1
# Li2MgF4
Computed PXRD pattern, Cu Kα. Input: a structure optimized by DFT (GGA-PBE).
Neutral-atom scattering factors, no anomalous dispersion.

Cell and atoms:
```
data_Li2MgF4
_chemical_formula_sum 'Li4 Mg2 F8'
_symmetry_space_group_name_H-M 'C 1 2/m 1'
_symmetry_Int_Tables_number 12
_symmetry_space_group_name_Hall '-C 2y'
_cell_length_a 10.8017
_cell_length_b 3.1326
_cell_length_c 4.9988
_cell_angle_alpha 90.00
_cell_angle_beta 106.70
_cell_angle_gamma 90.00
loop_
_atom_site_label
_atom_site_fract_x
_atom_site_fract_y
_atom_site_fract_z
Li1 0.1605 0.0000 0.0633
Mg1 0.0000 0.5000 0.5000
F1 0.0732 0.0000 0.3323
F2 0.1508 0.5000 0.8435
```

Most intense lines, 2θ = 5–70°, by intensity:
- (2 0 -1), 21.36 deg, 4.160 Å, I = 100
- (3 1 -1), 39.78 deg, 2.266 Å, I = 87
- (2 0 0), 17.14 deg, 5.173 Å, I = 75
- (1 1 -1), 33.93 deg, 2.642 Å, I = 50
- (4 0 1), 44.33 deg, 2.043 Å, I = 45
- (2 0 1), 28.82 deg, 3.098 Å, I = 44
- (3 1 -2), 49.13 deg, 1.854 Å, I = 39
- (1 1 1), 36.67 deg, 2.451 Å, I = 37
- (1 1 -3), 63.74 deg, 1.460 Å, I = 28
- (5 1 -2), 57.87 deg, 1.593 Å, I = 25
- (0 2 0), 58.97 deg, 1.566 Å, I = 24
- (2 0 2), 46.13 deg, 1.968 Å, I = 22

=====

No. 2
# Ho8Pd3Pt2
Computed PXRD pattern, Cu Kα. Input: a structure optimized by DFT (GGA-PBE).
Neutral-atom scattering factors, no anomalous dispersion.

Cell and atoms:
```
data_Ho8Pd3Pt2
_chemical_formula_sum 'Ho16 Pd6 Pt4'
_symmetry_space_group_name_H-M 'C 1 2/m 1'
_symmetry_Int_Tables_number 12
_symmetry_space_group_name_Hall '-C 2y'
_cell_length_a 14.8432
_cell_length_b 7.2766
_cell_length_c 6.4245
_cell_angle_alpha 90.00
_cell_angle_beta 102.34
_cell_angle_gamma 90.00
loop_
_atom_site_label
_atom_site_fract_x
_atom_site_fract_y
_atom_site_fract_z
Ho1 0.0768 0.0000 0.3391
Ho2 0.1311 0.2516 0.8779
Ho3 0.1702 0.5000 0.3846
Pd1 0.0000 0.3141 0.5000
Pd2 0.0000 0.5000 0.0000
Pt1 0.2331 0.0000 0.1856
```

Most intense lines, 2θ = 5–70°, by intensity:
- (2 0 2), 33.47 deg, 2.677 Å, I = 100
- (2 2 -1), 29.71 deg, 3.007 Å, I = 76
- (1 1 2), 32.88 deg, 2.724 Å, I = 50
- (4 2 1), 39.89 deg, 2.260 Å, I = 38
- (2 2 -3), 49.50 deg, 1.841 Å, I = 31
- (4 2 -1), 35.72 deg, 2.514 Å, I = 29
- (2 2 1), 32.19 deg, 2.781 Å, I = 28
- (6 0 -2), 42.03 deg, 2.150 Å, I = 24
- (1 1 1), 20.59 deg, 4.313 Å, I = 24
- (0 4 0), 50.15 deg, 1.819 Å, I = 23
- (7 1 0), 45.54 deg, 1.992 Å, I = 22
- (0 2 1), 28.36 deg, 3.147 Å, I = 21

=====

No. 3
# Ho3GaRu
Computed PXRD pattern, Cu Kα. Input: a structure optimized by DFT (GGA-PBE).
Neutral-atom scattering factors, no anomalous dispersion.

Cell and atoms:
```
data_Ho3GaRu
_chemical_formula_sum 'Ho24 Ga8 Ru8'
_symmetry_space_group_name_H-M 'F m m m'
_symmetry_Int_Tables_number 69
_symmetry_space_group_name_Hall '-F 2 2'
_cell_length_a 6.3822
_cell_length_b 9.4023
_cell_length_c 15.7521
_cell_angle_alpha 90.00
_cell_angle_beta 90.00
_cell_angle_gamma 90.00
loop_
_atom_site_label
_atom_site_fract_x
_atom_site_fract_y
_atom_site_fract_z
Ho1 0.0000 0.0000 0.1953
Ho2 0.0000 0.1842 0.3933
Ga1 0.1952 0.0000 0.0000
Ru1 0.2500 0.2500 0.2500
```

Most intense lines, 2θ = 5–70°, by intensity:
- (2 0 4), 36.23 deg, 2.479 Å, I = 100
- (1 3 1), 32.33 deg, 2.769 Å, I = 94
- (1 1 5), 33.11 deg, 2.706 Å, I = 84
- (2 2 2), 35.87 deg, 2.503 Å, I = 78
- (1 5 5), 59.00 deg, 1.566 Å, I = 42
- (0 2 6), 39.31 deg, 2.292 Å, I = 42
- (2 2 4), 41.16 deg, 2.193 Å, I = 36
- (2 0 0), 27.96 deg, 3.191 Å, I = 35
- (0 2 4), 29.59 deg, 3.019 Å, I = 23
- (3 3 3), 55.02 deg, 1.669 Å, I = 23
- (0 0 2), 11.23 deg, 7.876 Å, I = 19
- (2 0 10), 66.17 deg, 1.412 Å, I = 17

=====

No. 4
# RbAlPd2
Computed PXRD pattern, Cu Kα. Input: a structure optimized by DFT (GGA-PBE).
Neutral-atom scattering factors, no anomalous dispersion.

Cell and atoms:
```
data_RbAlPd2
_chemical_formula_sum 'Rb4 Al4 Pd8'
_symmetry_space_group_name_H-M 'I -4 2 d'
_symmetry_Int_Tables_number 122
_symmetry_space_group_name_Hall 'I -4 2bw'
_cell_length_a 5.4605
_cell_length_b 5.4605
_cell_length_c 16.1461
_cell_angle_alpha 90.00
_cell_angle_beta 90.00
_cell_angle_gamma 90.00
loop_
_atom_site_label
_atom_site_fract_x
_atom_site_fract_y
_atom_site_fract_z
Rb1 0.0000 0.0000 0.0000
Al1 0.0000 0.0000 0.5000
Pd1 0.0023 0.2500 0.6250
```

Most intense lines, 2θ = 5–70°, by intensity:
- (1 0 3), 23.20 deg, 3.833 Å, I = 100
- (2 0 2), 34.68 deg, 2.586 Å, I = 73
- (2 1 1), 37.24 deg, 2.415 Å, I = 58
- (2 2 4), 52.54 deg, 1.742 Å, I = 51
- (1 1 2), 25.57 deg, 3.483 Å, I = 46
- (1 0 5), 32.20 deg, 2.780 Å, I = 43
- (1 0 1), 17.14 deg, 5.173 Å, I = 42
- (2 0 6), 47.44 deg, 1.917 Å, I = 30
- (0 0 8), 44.91 deg, 2.018 Å, I = 20
- (2 1 7), 54.74 deg, 1.677 Å, I = 19
- (2 0 4), 39.86 deg, 2.262 Å, I = 14
- (0 0 4), 22.02 deg, 4.037 Å, I = 13

=====

No. 5
# Pr8Y2Tl
Computed PXRD pattern, Cu Kα. Input: a structure optimized by DFT (GGA-PBE).
Neutral-atom scattering factors, no anomalous dispersion.

Cell and atoms:
```
data_Pr8Y2Tl
_chemical_formula_sum 'Pr16 Y4 Tl2'
_symmetry_space_group_name_H-M 'C 1 2/m 1'
_symmetry_Int_Tables_number 12
_symmetry_space_group_name_Hall '-C 2y'
_cell_length_a 18.6088
_cell_length_b 5.1049
_cell_length_c 8.2009
_cell_angle_alpha 90.00
_cell_angle_beta 105.62
_cell_angle_gamma 90.00
loop_
_atom_site_label
_atom_site_fract_x
_atom_site_fract_y
_atom_site_fract_z
Pr1 0.0447 0.0000 0.2276
Pr2 0.0903 0.5000 0.9426
Pr3 0.1367 0.0000 0.6789
Pr4 0.1784 0.5000 0.4082
Y1 0.2247 0.0000 0.1331
Tl1 0.0000 0.5000 0.5000
```

Most intense lines, 2θ = 5–70°, by intensity:
- (1 1 2), 30.07 deg, 2.972 Å, I = 100
- (0 2 0), 35.16 deg, 2.553 Å, I = 17
- (4 0 -3), 34.56 deg, 2.595 Å, I = 17
- (6 0 1), 34.86 deg, 2.574 Å, I = 17
- (9 1 -4), 59.17 deg, 1.562 Å, I = 14
- (11 1 0), 59.56 deg, 1.552 Å, I = 14
- (1 3 2), 59.96 deg, 1.543 Å, I = 14
- (10 2 -2), 62.50 deg, 1.486 Å, I = 12
- (10 0 -2), 49.90 deg, 1.828 Å, I = 12
- (4 2 -3), 50.13 deg, 1.820 Å, I = 12
- (6 2 1), 50.35 deg, 1.812 Å, I = 12
- (2 0 0), 9.87 deg, 8.961 Å, I = 4

=====

No. 6
# SmYTmTl
Computed PXRD pattern, Cu Kα. Input: a structure optimized by DFT (GGA-PBE).
Neutral-atom scattering factors, no anomalous dispersion.

Cell and atoms:
```
data_SmYTmTl
_chemical_formula_sum 'Sm1 Y1 Tm1 Tl1'
_symmetry_space_group_name_H-M 'P m m m'
_symmetry_Int_Tables_number 47
_symmetry_space_group_name_Hall '-P 2 2'
_cell_length_a 4.8302
_cell_length_b 4.8754
_cell_length_c 4.9062
_cell_angle_alpha 90.00
_cell_angle_beta 90.00
_cell_angle_gamma 90.00
loop_
_atom_site_label
_atom_site_fract_x
_atom_site_fract_y
_atom_site_fract_z
Sm1 0.0000 0.0000 0.0000
Y1 0.5000 0.0000 0.5000
Tm1 0.5000 0.5000 0.0000
Tl1 0.0000 0.5000 0.5000
```

Most intense lines, 2θ = 5–70°, by intensity:
- (1 1 1), 31.82 deg, 2.812 Å, I = 100
- (0 0 2), 36.63 deg, 2.453 Å, I = 17
- (0 2 0), 36.87 deg, 2.438 Å, I = 17
- (2 0 0), 37.23 deg, 2.415 Å, I = 16
- (1 1 3), 62.96 deg, 1.476 Å, I = 14
- (1 3 1), 63.28 deg, 1.470 Å, I = 14
- (3 1 1), 63.76 deg, 1.460 Å, I = 14
- (2 2 2), 66.51 deg, 1.406 Å, I = 12
- (0 2 2), 52.95 deg, 1.729 Å, I = 12
- (2 0 2), 53.22 deg, 1.721 Å, I = 12
- (2 2 0), 53.40 deg, 1.716 Å, I = 12
- (0 1 0), 18.20 deg, 4.875 Å, I = 4

=====

No. 7
# CsMnVS4
Computed PXRD pattern, Cu Kα. Input: a structure optimized by DFT (GGA-PBE).
Neutral-atom scattering factors, no anomalous dispersion.

Cell and atoms:
```
data_CsMnVS4
_chemical_formula_sum 'Cs2 Mn2 V2 S8'
_symmetry_space_group_name_H-M 'P 1 21/m 1'
_symmetry_Int_Tables_number 11
_symmetry_space_group_name_Hall '-P 2yb'
_cell_length_a 6.0119
_cell_length_b 6.7231
_cell_length_c 8.5282
_cell_angle_alpha 90.00
_cell_angle_beta 91.60
_cell_angle_gamma 90.00
loop_
_atom_site_label
_atom_site_fract_x
_atom_site_fract_y
_atom_site_fract_z
Cs1 0.2071 0.2500 0.0506
Mn1 0.3684 0.2500 0.6187
V1 0.1707 0.7500 0.4665
S1 0.0971 0.0152 0.6533
S2 0.3301 0.7500 0.2223
S3 0.4901 0.7500 0.6141
```

Most intense lines, 2θ = 5–70°, by intensity:
- (1 1 1), 22.61 deg, 3.932 Å, I = 100
- (0 2 0), 26.52 deg, 3.362 Å, I = 89
- (1 0 -2), 25.28 deg, 3.524 Å, I = 60
- (1 2 -1), 32.13 deg, 2.786 Å, I = 54
- (1 1 0), 19.82 deg, 4.481 Å, I = 53
- (1 1 -1), 22.22 deg, 4.001 Å, I = 53
- (0 1 2), 24.73 deg, 3.600 Å, I = 49
- (0 1 4), 44.65 deg, 2.030 Å, I = 42
- (2 1 1), 34.60 deg, 2.593 Å, I = 42
- (1 1 2), 29.22 deg, 3.057 Å, I = 38
- (0 2 2), 33.96 deg, 2.639 Å, I = 37
- (1 1 -3), 37.10 deg, 2.423 Å, I = 36

=====

No. 8
# RbNaTlCd2
Computed PXRD pattern, Cu Kα. Input: a structure optimized by DFT (GGA-PBE).
Neutral-atom scattering factors, no anomalous dispersion.

Cell and atoms:
```
data_RbNaTlCd2
_chemical_formula_sum 'Rb2 Na2 Tl2 Cd4'
_symmetry_space_group_name_H-M 'I m m 2'
_symmetry_Int_Tables_number 44
_symmetry_space_group_name_Hall 'I 2 -2'
_cell_length_a 4.6364
_cell_length_b 5.2236
_cell_length_c 14.2648
_cell_angle_alpha 90.00
_cell_angle_beta 90.00
_cell_angle_gamma 90.00
loop_
_atom_site_label
_atom_site_fract_x
_atom_site_fract_y
_atom_site_fract_z
Rb1 0.0000 0.0000 0.0000
Na1 0.0000 0.0000 0.6189
Tl1 0.0000 0.5000 0.7494
Cd1 0.0000 0.0000 0.3938
Cd2 0.0000 0.5000 0.2805
```

Most intense lines, 2θ = 5–70°, by intensity:
- (1 1 2), 28.62 deg, 3.119 Å, I = 100
- (0 0 2), 12.41 deg, 7.132 Å, I = 50
- (1 1 4), 36.13 deg, 2.486 Å, I = 36
- (1 0 3), 26.86 deg, 3.320 Å, I = 27
- (0 2 0), 34.34 deg, 2.612 Å, I = 25
- (2 0 0), 38.85 deg, 2.318 Å, I = 18
- (0 1 5), 35.86 deg, 2.504 Å, I = 18
- (0 1 1), 18.09 deg, 4.905 Å, I = 16
- (2 2 0), 52.80 deg, 1.734 Å, I = 15
- (1 2 3), 44.12 deg, 2.053 Å, I = 14
- (1 3 2), 58.04 deg, 1.589 Å, I = 14
- (1 1 6), 46.30 deg, 1.961 Å, I = 13

=====

No. 9
# Rb2ZnInRh
Computed PXRD pattern, Cu Kα. Input: a structure optimized by DFT (GGA-PBE).
Neutral-atom scattering factors, no anomalous dispersion.

Cell and atoms:
```
data_Rb2ZnInRh
_chemical_formula_sum 'Rb2 Zn1 In1 Rh1'
_symmetry_space_group_name_H-M 'P 4/m m m'
_symmetry_Int_Tables_number 123
_symmetry_space_group_name_Hall '-P 4 2'
_cell_length_a 6.8821
_cell_length_b 6.8821
_cell_length_c 4.9664
_cell_angle_alpha 90.00
_cell_angle_beta 90.00
_cell_angle_gamma 90.00
loop_
_atom_site_label
_atom_site_fract_x
_atom_site_fract_y
_atom_site_fract_z
Rb1 0.0000 0.5000 0.0000
Zn1 0.0000 0.0000 0.5000
In1 0.0000 0.0000 0.0000
Rh1 0.5000 0.5000 0.5000
```

Most intense lines, 2θ = 5–70°, by intensity:
- (2 0 0), 25.89 deg, 3.441 Å, I = 100
- (1 1 1), 25.63 deg, 3.476 Å, I = 52
- (2 0 2), 45.02 deg, 2.014 Å, I = 44
- (2 2 0), 36.94 deg, 2.433 Å, I = 39
- (1 0 1), 22.07 deg, 4.027 Å, I = 31
- (2 2 2), 52.67 deg, 1.738 Å, I = 27
- (3 1 1), 45.51 deg, 1.993 Å, I = 21
- (0 0 2), 36.17 deg, 2.483 Å, I = 21
- (2 1 1), 34.28 deg, 2.616 Å, I = 20
- (4 2 0), 60.13 deg, 1.539 Å, I = 18
- (1 1 0), 18.23 deg, 4.866 Å, I = 16
- (1 0 0), 12.86 deg, 6.882 Å, I = 15

=====

No. 10
# Sr12MgZn5
Computed PXRD pattern, Cu Kα. Input: a structure optimized by DFT (GGA-PBE).
Neutral-atom scattering factors, no anomalous dispersion.

Cell and atoms:
```
data_Sr12MgZn5
_chemical_formula_sum 'Sr24 Mg2 Zn10'
_symmetry_space_group_name_H-M 'I m m m'
_symmetry_Int_Tables_number 71
_symmetry_space_group_name_Hall '-I 2 2'
_cell_length_a 10.7964
_cell_length_b 11.2819
_cell_length_c 11.7478
_cell_angle_alpha 90.00
_cell_angle_beta 90.00
_cell_angle_gamma 90.00
loop_
_atom_site_label
_atom_site_fract_x
_atom_site_fract_y
_atom_site_fract_z
Sr1 0.0000 0.1885 0.2386
Sr2 0.1896 0.5000 0.1699
Sr3 0.2253 0.3215 0.5000
Mg1 0.0000 0.0000 0.5000
Zn1 0.0000 0.0000 0.0000
Zn2 0.0000 0.3433 0.0000
Zn3 0.0000 0.5000 0.3891
```

Most intense lines, 2θ = 5–70°, by intensity:
- (2 2 2), 27.45 deg, 3.249 Å, I = 100
- (2 3 1), 29.94 deg, 2.984 Å, I = 95
- (1 3 2), 29.39 deg, 3.039 Å, I = 82
- (2 1 3), 29.27 deg, 3.052 Å, I = 55
- (0 0 4), 30.43 deg, 2.937 Å, I = 45
- (4 0 0), 33.19 deg, 2.699 Å, I = 37
- (5 3 2), 51.20 deg, 1.784 Å, I = 36
- (0 2 4), 34.43 deg, 2.605 Å, I = 31
- (2 0 6), 49.56 deg, 1.839 Å, I = 30
- (3 0 3), 33.83 deg, 2.650 Å, I = 29
- (3 1 0), 25.98 deg, 3.429 Å, I = 22
- (0 1 3), 24.06 deg, 3.699 Å, I = 22

=====

No. 11
# Li4CaHg2
Computed PXRD pattern, Cu Kα. Input: a structure optimized by DFT (GGA-PBE).
Neutral-atom scattering factors, no anomalous dispersion.

Cell and atoms:
```
data_Li4CaHg2
_chemical_formula_sum 'Li8 Ca2 Hg4'
_symmetry_space_group_name_H-M 'P 42/m n m'
_symmetry_Int_Tables_number 136
_symmetry_space_group_name_Hall '-P 4n 2n'
_cell_length_a 8.0751
_cell_length_b 8.0751
_cell_length_c 4.5922
_cell_angle_alpha 90.00
_cell_angle_beta 90.00
_cell_angle_gamma 90.00
loop_
_atom_site_label
_atom_site_fract_x
_atom_site_fract_y
_atom_site_fract_z
Li1 0.0992 0.3533 0.0000
Ca1 0.0000 0.0000 0.5000
Hg1 0.2153 0.7847 0.0000
```

Most intense lines, 2θ = 5–70°, by intensity:
- (1 1 1), 24.88 deg, 3.578 Å, I = 100
- (2 0 0), 22.02 deg, 4.038 Å, I = 49
- (3 1 1), 40.42 deg, 2.232 Å, I = 43
- (2 2 0), 31.33 deg, 2.855 Å, I = 28
- (2 1 0), 24.65 deg, 3.611 Å, I = 20
- (3 0 1), 38.78 deg, 2.322 Å, I = 18
- (2 0 2), 45.44 deg, 1.996 Å, I = 16
- (2 2 2), 51.04 deg, 1.789 Å, I = 14
- (4 1 0), 46.36 deg, 1.958 Å, I = 13
- (5 2 1), 65.48 deg, 1.425 Å, I = 13
- (2 1 1), 31.52 deg, 2.839 Å, I = 13
- (0 0 2), 39.24 deg, 2.296 Å, I = 12

=====

No. 12
# Ba2Zn2GeO6
Computed PXRD pattern, Cu Kα. Input: a structure optimized by DFT (GGA-PBE).
Neutral-atom scattering factors, no anomalous dispersion.

Cell and atoms:
```
data_Ba2Zn2GeO6
_chemical_formula_sum 'Ba6 Zn6 Ge3 O18'
_symmetry_space_group_name_H-M 'R -3 m'
_symmetry_Int_Tables_number 166
_symmetry_space_group_name_Hall '-R 3 2"'
_cell_length_a 5.8886
_cell_length_b 5.8886
_cell_length_c 16.2365
_cell_angle_alpha 90.00
_cell_angle_beta 90.00
_cell_angle_gamma 120.00
loop_
_atom_site_label
_atom_site_fract_x
_atom_site_fract_y
_atom_site_fract_z
Ba1 0.0000 0.0000 0.2170
Zn1 0.0000 0.0000 0.4076
Ge1 0.0000 0.0000 0.0000
O1 0.0358 0.5179 0.7426
```

Most intense lines, 2θ = 5–70°, by intensity:
- (1 1 0), 30.36 deg, 2.944 Å, I = 100
- (0 1 5), 32.69 deg, 2.739 Å, I = 76
- (1 2 5), 55.43 deg, 1.658 Å, I = 39
- (2 0 5), 45.21 deg, 2.005 Å, I = 29
- (3 0 0), 53.94 deg, 1.700 Å, I = 19
- (2 2 0), 63.16 deg, 1.472 Å, I = 18
- (0 2 4), 41.84 deg, 2.159 Å, I = 12
- (2 0 2), 36.95 deg, 2.433 Å, I = 12
- (1 1 9), 60.15 deg, 1.538 Å, I = 10
- (1 0 4), 28.10 deg, 3.176 Å, I = 9
- (1 0 10), 59.77 deg, 1.547 Å, I = 8
- (0 0 6), 33.10 deg, 2.706 Å, I = 8